Structure and theoretical X-ray diffraction stick pattern of Ni21Sn2B6 (the GGA-PBE geometry in Alexandria; Cu Ka).
Kinematic intensities with the Lorentz-polarization factor, no thermal factor.

```
Ni21Sn2B6
1.0
0.000 5.299 5.299
5.299 0.000 5.299
5.299 5.299 0.000
Ni Sn B
21 2 6
direct
0.000 0.000 0.000 Ni
0.000 0.000 0.336 Ni
0.000 0.000 0.664 Ni
0.000 0.336 0.000 Ni
0.000 0.336 0.664 Ni
0.000 0.664 0.000 Ni
0.000 0.664 0.336 Ni
0.156 0.614 0.614 Ni
0.336 0.000 0.000 Ni
0.336 0.000 0.664 Ni
0.336 0.664 0.000 Ni
0.386 0.386 0.386 Ni
0.386 0.386 0.844 Ni
0.386 0.844 0.386 Ni
0.614 0.156 0.614 Ni
0.614 0.614 0.156 Ni
0.614 0.614 0.614 Ni
0.664 0.000 0.000 Ni
0.664 0.000 0.336 Ni
0.664 0.336 0.000 Ni
0.844 0.386 0.386 Ni
0.250 0.250 0.250 Sn
0.750 0.750 0.750 Sn
0.272 0.272 0.728 B
0.272 0.728 0.272 B
0.272 0.728 0.728 B
0.728 0.272 0.272 B
0.728 0.272 0.728 B
0.728 0.728 0.272 B
```

Main lines, in order of rising 2θ (15° ≤ 2θ ≤ 90°):
Position (°2θ)	I (rel.)
37.97	50.3
41.75	49.0
44.42	100.0
48.60	28.2
50.98	25.5
54.78	6.9
57.70	14.1
73.72	15.2
76.23	31.5
78.10	11.8